# 1
For GdDyCSe, DFT lattice parameters and positions (GGA-PBE) gives the simulated powder diffractogram in this record (λ = 1.5418 Å (Cu Kα)).
Intensities are scaled so that the largest is 100.

Peak list (6 most intense, 2θ = 10–90°, sorted by position)
2theta  d_spacing  I (rel.)
27.21  3.277  29
33.95  2.640  100
48.09  1.892  29
60.17  1.538  19
64.62  1.442  15
80.48  1.193  17

Structure:
```
GdDyCSe
1.0
3.784 0.000 0.000
-1.892 3.277 0.000
0.000 0.000 13.371
Gd Dy C Se
2 2 2 2
Direct
0.333 0.667 0.000
0.667 0.333 0.500
0.333 0.667 0.299
0.667 0.333 0.799
0.000 0.000 0.399
0.000 0.000 0.899
0.333 0.667 0.651
0.667 0.333 0.151
```

=====

# 2
For La2Cd2O5, DFT lattice parameters and positions (GGA-PBE) gives the simulated powder diffractogram in this record (λ = 1.5418 Å (Cu Kα)).
Intensities are scaled so that the largest is 100.

Peak list (6 most intense, 2θ = 10–90°, sorted by position)
2theta  d_spacing  I (rel.)
29.32  3.046  24
29.98  2.980  37
30.22  2.957  100
33.02  2.713  77
42.43  2.130  46
56.17  1.637  21

Structure:
```
La2Cd2O5
1.0
6.812 0.000 0.000
0.000 6.812 0.000
0.000 0.000 5.960
La Cd O
4 4 10
Direct
0.095 0.744 0.000
0.256 0.095 0.500
0.744 0.905 0.500
0.905 0.256 0.000
0.276 0.586 0.500
0.414 0.276 0.000
0.586 0.724 0.000
0.724 0.414 0.500
0.000 0.000 0.250
0.000 0.000 0.750
0.185 0.377 0.240
0.185 0.377 0.760
0.377 0.815 0.260
0.377 0.815 0.740
0.623 0.185 0.260
0.623 0.185 0.740
0.815 0.623 0.240
0.815 0.623 0.760
```

=====

# 3
For MgTaO3, DFT lattice parameters and positions (GGA-PBE) gives the simulated powder diffractogram in this record (λ = 1.5418 Å (Cu Kα)).
Intensities are scaled so that the largest is 100.

Peak list (6 most intense, 2θ = 10–90°, sorted by position)
2theta  d_spacing  I (rel.)
23.25  3.826  85
33.11  2.706  100
40.86  2.209  18
47.53  1.913  24
53.55  1.711  39
59.13  1.562  33

Structure:
```
MgTaO3
1.0
2.704 1.561 4.424
-2.704 1.561 4.424
0.000 -3.122 4.424
Mg Ta O
2 2 6
Direct
0.250 0.250 0.250
0.750 0.750 0.750
0.000 0.000 0.000
0.500 0.500 0.500
0.117 0.750 0.383
0.250 0.617 0.883
0.383 0.117 0.750
0.617 0.883 0.250
0.750 0.383 0.117
0.883 0.250 0.617
```